# B2MoPb6O12
Computed PXRD pattern, copper Kα. Input: a PBE+U-relaxed structure.
Lines closer than 0.1° are merged.

Structural model:
```
data_B2MoPb6O12
_chemical_formula_sum 'B8 Mo4 Pb24 O48'
_cell_length_a 18.812
_cell_length_b 6.442
_cell_length_c 12.088
_cell_angle_alpha 90.00
_cell_angle_beta 90.00
_cell_angle_gamma 90.00
_symmetry_space_group_name_H-M 'C m c m'
_symmetry_Int_Tables_number 63
_symmetry_space_group_name_Hall '-C 2c 2'
loop_
_atom_site_label
_atom_site_type_symbol
_atom_site_fract_x
_atom_site_fract_y
_atom_site_fract_z
B1 B 0.246 0.000 0.000
Mo1 Mo 0.000 0.231 0.250
Pb1 Pb 0.108 0.259 0.595
Pb2 Pb 0.209 0.201 0.250
O1 O 0.000 0.068 0.129
O2 O 0.078 0.398 0.250
O3 O 0.153 0.133 0.750
O4 O 0.171 0.000 0.000
O5 O 0.218 0.444 0.595
```

Principal peaks in the range 2θ = 10–90°, in order of rising 2θ:
(4 0 2), 2θ 23.98, I 25
(1 1 3), 2θ 26.52, I 95
(0 2 0), 2θ 27.70, I 39
(5 1 1), 2θ 28.45, I 100
(3 1 3), 2θ 29.78, I 30
(4 2 2), 2θ 36.97, I 27
(4 2 4), 2θ 45.45, I 24
(9 1 3), 2θ 51.24, I 37